1.
Theoretical X-ray diffraction stick pattern
Compound: NaPm6In5
Radiation: Cu Kα, 1.54184 Å
Structure: a DFT-relaxed cell (GGA-PBE, Alexandria)
Peak positions follow from Bragg's law for the DFT cell and can differ from measured ones.

a b c (Å): 9.5038 9.5038 9.5038
angles (deg): 146.53 132.26 59.55
Atoms (fractional coordinates):
Na: 0.0000 0.0000 0.0000
Pm: 0.0822 0.8297 0.2525
Pm: 0.2580 0.5000 0.7580
Pm: 0.4228 0.1703 0.2525
Pm: 0.5772 0.8297 0.7475
Pm: 0.7420 0.5000 0.2420
Pm: 0.9178 0.1703 0.7475
In: 0.1567 0.6567 0.5000
In: 0.3338 0.3338 0.0000
In: 0.5000 0.0000 0.5000
In: 0.6662 0.6662 0.0000
In: 0.8433 0.3433 0.5000

Top 10 peaks for 10 to 90 degrees two-theta, in order of falling intensity:
32.78°, I 100
32.56°, I 20
58.45°, I 15
46.84°, I 14
58.25°, I 14
77.97°, I 9
68.74°, I 9
58.68°, I 7
58.58°, I 7
47.27°, I 7

2.
Theoretical X-ray diffraction stick pattern
Compound: NaPmScIn
Radiation: Cu Kα, 1.54184 Å
Structure: a DFT-relaxed cell (GGA-PBE, Alexandria)
Peak positions follow from Bragg's law for the DFT cell and can differ from measured ones.

a b c (Å): 5.3205 5.3205 5.3205
angles (deg): 60.00 60.00 60.00
Atoms (fractional coordinates):
Na: 0.0000 0.0000 0.0000
Pm: 0.2500 0.2500 0.2500
Sc: 0.7500 0.7500 0.7500
In: 0.5000 0.5000 0.5000

Top 10 peaks for 10 to 90 degrees two-theta, in order of falling intensity:
33.69°, I 100
20.44°, I 39
60.26°, I 36
39.73°, I 22
48.39°, I 18
80.78°, I 15
70.84°, I 11
53.05°, I 10
64.33°, I 7
74.62°, I 7

3.
Theoretical X-ray diffraction stick pattern
Compound: Na2PmInSn2
Radiation: Cu Kα, 1.54184 Å
Structure: a DFT-relaxed cell (GGA-PBE, Alexandria)
Peak positions follow from Bragg's law for the DFT cell and can differ from measured ones.

a b c (Å): 4.6625 9.4906 7.7955
angles (deg): 90.00 90.00 90.00
Atoms (fractional coordinates):
Na: 0.0000 0.0754 0.0000
Na: 0.0000 0.9246 0.5000
Na: 0.5000 0.1678 0.3077
Na: 0.5000 0.8322 0.8077
Pm: 0.5000 0.4447 0.9350
Pm: 0.5000 0.5553 0.4350
In: 0.0000 0.3194 0.6053
In: 0.0000 0.6806 0.1053
Sn: 0.0000 0.3791 0.2186
Sn: 0.0000 0.6209 0.7186
Sn: 0.5000 0.1580 0.7182
Sn: 0.5000 0.8420 0.2182

Top 10 peaks for 10 to 90 degrees two-theta, in order of falling intensity:
31.36°, I 100
34.25°, I 64
38.62°, I 42
29.19°, I 38
24.14°, I 34
39.54°, I 34
29.88°, I 31
56.46°, I 25
14.71°, I 24
29.66°, I 23

4.
Theoretical X-ray diffraction stick pattern
Compound: NaPmTlIn
Radiation: Cu Kα, 1.54184 Å
Structure: a DFT-relaxed cell (GGA-PBE, Alexandria)
Peak positions follow from Bragg's law for the DFT cell and can differ from measured ones.

a b c (Å): 5.3881 5.3881 5.3881
angles (deg): 60.00 60.00 60.00
Atoms (fractional coordinates):
Na: 0.0000 0.0000 0.0000
Pm: 0.5000 0.5000 0.5000
Tl: 0.2500 0.2500 0.2500
In: 0.7500 0.7500 0.7500

Top 10 peaks for 10 to 90 degrees two-theta, in order of falling intensity:
33.26°, I 100
59.42°, I 38
20.18°, I 21
47.74°, I 18
79.56°, I 16
39.21°, I 12
69.82°, I 12
23.35°, I 11
52.34°, I 5
53.80°, I 5

5.
Theoretical X-ray diffraction stick pattern
Compound: Na2PrIn
Radiation: Cu Kα, 1.54184 Å
Structure: a DFT-relaxed cell (GGA-PBE, Alexandria)
Peak positions follow from Bragg's law for the DFT cell and can differ from measured ones.

a b c (Å): 12.7544 12.7544 12.7544
angles (deg): 15.55 15.55 15.55
Atoms (fractional coordinates):
Na: 0.0922 0.0922 0.0922
Na: 0.9078 0.9078 0.9078
Pr: 0.0000 0.0000 0.0000
In: 0.5000 0.5000 0.5000

Top 10 peaks for 10 to 90 degrees two-theta, in order of falling intensity:
14.06°, I 100
30.28°, I 84
38.40°, I 52
31.40°, I 50
35.55°, I 46
28.34°, I 38
61.26°, I 25
62.34°, I 23
45.27°, I 22
53.08°, I 21

6.
Theoretical X-ray diffraction stick pattern
Compound: Na2In2Pt
Radiation: Cu Kα, 1.54184 Å
Structure: a DFT-relaxed cell (GGA-PBE, Alexandria)
Peak positions follow from Bragg's law for the DFT cell and can differ from measured ones.

a b c (Å): 7.2038 7.2038 6.8307
angles (deg): 104.30 104.30 121.48
Atoms (fractional coordinates):
Na: 0.1710 0.7608 0.7384
Na: 0.2392 0.8290 0.2616
Na: 0.7608 0.1710 0.7384
Na: 0.8290 0.2392 0.2616
In: 0.2447 0.2447 0.0987
In: 0.2511 0.2511 0.6483
In: 0.7489 0.7489 0.3517
In: 0.7553 0.7553 0.9013
Pt: 0.3872 0.6128 0.5000
Pt: 0.6128 0.3872 0.5000

Top 10 peaks for 10 to 90 degrees two-theta, in order of falling intensity:
14.09°, I 100
33.87°, I 65
15.03°, I 50
16.20°, I 48
39.90°, I 46
41.33°, I 45
16.34°, I 45
40.85°, I 42
32.74°, I 32
44.78°, I 31

7.
Theoretical X-ray diffraction stick pattern
Compound: Na5In2Pt
Radiation: Cu Kα, 1.54184 Å
Structure: a DFT-relaxed cell (GGA-PBE, Alexandria)
Peak positions follow from Bragg's law for the DFT cell and can differ from measured ones.

a b c (Å): 6.8641 13.6480 4.2820
angles (deg): 90.00 90.00 90.00
Atoms (fractional coordinates):
Na: 0.0000 0.0000 0.0000
Na: 0.0480 0.2567 0.0000
Na: 0.2259 0.8767 0.5000
Na: 0.2741 0.3767 0.5000
Na: 0.4520 0.7567 0.0000
Na: 0.5000 0.5000 0.0000
Na: 0.5480 0.2433 0.0000
Na: 0.7259 0.6233 0.5000
Na: 0.7741 0.1233 0.5000
Na: 0.9520 0.7433 0.0000
In: 0.1833 0.6003 0.5000
In: 0.3167 0.1003 0.5000
In: 0.6833 0.8997 0.5000
In: 0.8167 0.3997 0.5000
Pt: 0.0000 0.5000 0.0000
Pt: 0.5000 0.0000 0.0000

Top 10 peaks for 10 to 90 degrees two-theta, in order of falling intensity:
14.44°, I 100
12.97°, I 63
33.58°, I 59
33.46°, I 49
37.16°, I 32
36.05°, I 25
18.33°, I 24
45.43°, I 22
57.47°, I 20
31.51°, I 19

8.
Theoretical X-ray diffraction stick pattern
Compound: NaIn6Pt4
Radiation: Cu Kα, 1.54184 Å
Structure: a DFT-relaxed cell (GGA-PBE, Alexandria)
Peak positions follow from Bragg's law for the DFT cell and can differ from measured ones.

a b c (Å): 7.0872 7.0872 7.0872
angles (deg): 120.29 120.29 89.49
Atoms (fractional coordinates):
Na: 0.0000 0.0000 0.0000
In: 0.0000 0.5000 0.5000
In: 0.1168 0.1168 0.6544
In: 0.4625 0.4625 0.3456
In: 0.5000 0.0000 0.5000
In: 0.5375 0.8832 0.0000
In: 0.8832 0.5375 0.0000
Pt: 0.2495 0.5967 0.0000
Pt: 0.4033 0.4033 0.6528
Pt: 0.5967 0.2495 0.0000
Pt: 0.7505 0.7505 0.3472

Top 10 peaks for 10 to 90 degrees two-theta, in order of falling intensity:
39.19°, I 100
15.34°, I 91
40.13°, I 58
40.41°, I 53
39.34°, I 50
60.75°, I 36
25.13°, I 36
25.24°, I 24
70.44°, I 22
51.59°, I 22

9.
Theoretical X-ray diffraction stick pattern
Compound: Na4InPt
Radiation: Cu Kα, 1.54184 Å
Structure: a DFT-relaxed cell (GGA-PBE, Alexandria)
Peak positions follow from Bragg's law for the DFT cell and can differ from measured ones.

a b c (Å): 5.6412 5.6412 12.0810
angles (deg): 95.87 95.87 124.08
Atoms (fractional coordinates):
Na: 0.0246 0.6929 0.7161
Na: 0.1624 0.8376 0.0000
Na: 0.2919 0.2919 0.5836
Na: 0.3071 0.9754 0.2839
Na: 0.6929 0.0246 0.7161
Na: 0.7081 0.7081 0.4164
Na: 0.8376 0.1624 0.0000
Na: 0.9754 0.3071 0.2839
In: 0.4347 0.4347 0.8713
In: 0.5653 0.5653 0.1287
Pt: 0.2502 0.7498 0.5000
Pt: 0.7498 0.2502 0.5000

Top 10 peaks for 10 to 90 degrees two-theta, in order of falling intensity:
19.35°, I 100
15.03°, I 37
35.38°, I 36
45.15°, I 28
23.38°, I 26
22.63°, I 23
32.04°, I 22
32.77°, I 22
34.76°, I 22
59.90°, I 21

10.
Theoretical X-ray diffraction stick pattern
Compound: RbNa10In3
Radiation: Cu Kα, 1.54184 Å
Structure: a DFT-relaxed cell (GGA-PBE, Alexandria)
Peak positions follow from Bragg's law for the DFT cell and can differ from measured ones.

a b c (Å): 11.5909 11.5909 11.5909
angles (deg): 60.00 60.00 60.00
Atoms (fractional coordinates):
Rb: 0.2500 0.2500 0.2500
Rb: 0.7500 0.7500 0.7500
Na: 0.0000 0.0000 0.3345
Na: 0.0000 0.0000 0.6655
Na: 0.0000 0.3345 0.0000
Na: 0.0000 0.3345 0.6655
Na: 0.0000 0.6655 0.0000
Na: 0.0000 0.6655 0.3345
Na: 0.1684 0.6105 0.6105
Na: 0.3345 0.0000 0.0000
Na: 0.3345 0.0000 0.6655
Na: 0.3345 0.6655 0.0000
Na: 0.3895 0.3895 0.3895
Na: 0.3895 0.3895 0.8316
Na: 0.3895 0.8316 0.3895
Na: 0.6105 0.1684 0.6105
Na: 0.6105 0.6105 0.1684
Na: 0.6105 0.6105 0.6105
Na: 0.6655 0.0000 0.0000
Na: 0.6655 0.0000 0.3345
Na: 0.6655 0.3345 0.0000
Na: 0.8316 0.3895 0.3895
In: 0.2670 0.2670 0.7330
In: 0.2670 0.7330 0.2670
In: 0.2670 0.7330 0.7330
In: 0.7330 0.2670 0.2670
In: 0.7330 0.2670 0.7330
In: 0.7330 0.7330 0.2670

Top 10 peaks for 10 to 90 degrees two-theta, in order of falling intensity:
18.75°, I 100
36.36°, I 74
30.86°, I 63
21.69°, I 39
54.88°, I 24
48.41°, I 24
28.29°, I 18
67.62°, I 18
38.03°, I 14
49.75°, I 12

11.
Theoretical X-ray diffraction stick pattern
Compound: RbNaIn11
Radiation: Cu Kα, 1.54184 Å
Structure: a DFT-relaxed cell (GGA-PBE, Alexandria)
Peak positions follow from Bragg's law for the DFT cell and can differ from measured ones.

a b c (Å): 8.3616 8.3616 8.2245
angles (deg): 98.32 98.32 134.70
Atoms (fractional coordinates):
Rb: 0.0000 0.0000 0.0000
Na: 0.5000 0.5000 0.5000
In: 0.0000 0.0000 0.5000
In: 0.0000 0.5000 0.0000
In: 0.0126 0.3685 0.3593
In: 0.2805 0.5010 0.7827
In: 0.3685 0.0126 0.3593
In: 0.4990 0.7195 0.2173
In: 0.5000 0.0000 0.0000
In: 0.5010 0.2805 0.7827
In: 0.6315 0.9874 0.6407
In: 0.7195 0.4990 0.2173
In: 0.9874 0.6315 0.6407

Top 10 peaks for 10 to 90 degrees two-theta, in order of falling intensity:
33.04°, I 100
32.70°, I 91
36.86°, I 88
36.34°, I 69
32.16°, I 66
32.81°, I 63
37.24°, I 63
32.51°, I 53
28.46°, I 52
27.71°, I 42

12.
Theoretical X-ray diffraction stick pattern
Compound: Rb2Na2In15
Radiation: Cu Kα, 1.54184 Å
Structure: a DFT-relaxed cell (GGA-PBE, Alexandria)
Peak positions follow from Bragg's law for the DFT cell and can differ from measured ones.

a b c (Å): 8.3600 8.3600 8.3600
angles (deg): 81.43 81.43 81.43
Atoms (fractional coordinates):
Rb: 0.1602 0.1602 0.1602
Rb: 0.8398 0.8398 0.8398
Na: 0.3981 0.3981 0.3981
Na: 0.6019 0.6019 0.6019
In: 0.0000 0.5000 0.5000
In: 0.1412 0.1412 0.6527
In: 0.1412 0.6527 0.1412
In: 0.2078 0.5000 0.7922
In: 0.2078 0.7922 0.5000
In: 0.3473 0.8588 0.8588
In: 0.5000 0.0000 0.5000
In: 0.5000 0.2078 0.7922
In: 0.5000 0.5000 0.0000
In: 0.5000 0.7922 0.2078
In: 0.6527 0.1412 0.1412
In: 0.7922 0.2078 0.5000
In: 0.7922 0.5000 0.2078
In: 0.8588 0.3473 0.8588
In: 0.8588 0.8588 0.3473

Top 10 peaks for 10 to 90 degrees two-theta, in order of falling intensity:
32.80°, I 100
36.79°, I 58
16.25°, I 35
32.56°, I 29
33.13°, I 18
28.73°, I 16
58.65°, I 13
58.24°, I 11
53.06°, I 10
36.60°, I 10

Q: What is the formula in the fifth record?
A: Na2PrIn

Please write out number 9 again, unchanged.
Theoretical X-ray diffraction stick pattern
Compound: Na4InPt
Radiation: Cu Kα, 1.54184 Å
Structure: a DFT-relaxed cell (GGA-PBE, Alexandria)
Peak positions follow from Bragg's law for the DFT cell and can differ from measured ones.

a b c (Å): 5.6412 5.6412 12.0810
angles (deg): 95.87 95.87 124.08
Atoms (fractional coordinates):
Na: 0.0246 0.6929 0.7161
Na: 0.1624 0.8376 0.0000
Na: 0.2919 0.2919 0.5836
Na: 0.3071 0.9754 0.2839
Na: 0.6929 0.0246 0.7161
Na: 0.7081 0.7081 0.4164
Na: 0.8376 0.1624 0.0000
Na: 0.9754 0.3071 0.2839
In: 0.4347 0.4347 0.8713
In: 0.5653 0.5653 0.1287
Pt: 0.2502 0.7498 0.5000
Pt: 0.7498 0.2502 0.5000

Top 10 peaks for 10 to 90 degrees two-theta, in order of falling intensity:
19.35°, I 100
15.03°, I 37
35.38°, I 36
45.15°, I 28
23.38°, I 26
22.63°, I 23
32.04°, I 22
32.77°, I 22
34.76°, I 22
59.90°, I 21